The following is a calculated powder X-ray diffraction pattern of Li7Co5O12. It was derived from a structure optimized by DFT (PBE+U), using Cu Kα (λ = 1.5418 Å).
Kinematic intensities with the Lorentz-polarization factor, no thermal factor.

Cell and atoms:
```
data_Li7Co5O12
_chemical_formula_sum 'Li14 Co10 O24'
_symmetry_space_group_name_H-M 'C 1 2/m 1'
_symmetry_Int_Tables_number 12
_symmetry_space_group_name_Hall '-C 2y'
_cell_length_a 9.5629
_cell_length_b 8.5311
_cell_length_c 4.9073
_cell_angle_alpha 90.00
_cell_angle_beta 99.88
_cell_angle_gamma 90.00
loop_
_atom_site_label
_atom_site_type_symbol
_atom_site_fract_x
_atom_site_fract_y
_atom_site_fract_z
Li1 Li 0.0000 0.0000 0.0000
Li2 Li 0.2453 0.0000 0.7598
Li3 Li 0.2482 0.1646 0.2434
Co1 Co 0.0000 0.1654 0.5000
Co2 Co 0.0000 0.3328 0.0000
Co3 Co 0.0000 0.5000 0.5000
O1 O 0.1082 0.3328 0.3706
O2 O 0.1100 0.5000 0.8692
O3 O 0.1118 0.1752 0.8570
O4 O 0.1132 0.0000 0.3957
```

The 6 most intense peaks (2θ from 10° to 90°), by angle:
two_theta  I/Imax  index
18.84  100  2 0 0
37.09  25  1 3 -1
44.89  52  3 3 -1
44.99  26  2 0 2
59.23  14  4 0 2
65.02  20  5 3 1

The following is a calculated powder X-ray diffraction pattern of MgCo5P8O28. It was derived from a structure optimized by DFT (PBE+U), using Cu Kα (λ = 1.5418 Å).
Kinematic intensities with the Lorentz-polarization factor, no thermal factor.

Cell and atoms:
```
data_MgCo5P8O28
_chemical_formula_sum 'Mg1 Co5 P8 O28'
_symmetry_space_group_name_H-M 'P 1'
_symmetry_Int_Tables_number 1
_symmetry_space_group_name_Hall 'P 1'
_cell_length_a 7.3238
_cell_length_b 7.9224
_cell_length_c 10.2097
_cell_angle_alpha 72.56
_cell_angle_beta 86.22
_cell_angle_gamma 85.32
loop_
_atom_site_label
_atom_site_type_symbol
_atom_site_fract_x
_atom_site_fract_y
_atom_site_fract_z
Mg1 Mg 0.0000 0.0000 0.0000
Co1 Co 0.2625 0.9514 0.6668
Co2 Co 0.2759 0.9272 0.2291
Co3 Co 0.5038 0.2947 0.6183
Co4 Co 0.7352 0.6718 0.0115
Co5 Co 0.7541 0.6306 0.5482
P1 P 0.1521 0.6465 0.9158
P2 P 0.1600 0.5880 0.6432
P3 P 0.2768 0.2534 0.3686
P4 P 0.4593 0.0510 0.9266
P5 P 0.5294 0.5499 0.3070
P6 P 0.7047 0.3418 0.8702
P7 P 0.8331 0.9729 0.2978
P8 P 0.8420 0.0015 0.5774
O1 O 0.0073 0.0136 0.6592
O2 O 0.0099 0.9319 0.2105
O3 O 0.0707 0.5845 0.7908
O4 O 0.0970 0.3519 0.3643
O5 O 0.2184 0.4913 0.0263
O6 O 0.2515 0.7639 0.5770
O7 O 0.2812 0.0147 0.0215
O8 O 0.2943 0.4271 0.6586
O9 O 0.3013 0.1106 0.2910
O10 O 0.3007 0.7753 0.8368
O11 O 0.3465 0.1559 0.5186
O12 O 0.3762 0.7018 0.2751
O13 O 0.4079 0.0892 0.7745
O14 O 0.4428 0.3762 0.2991
O15 O 0.5219 0.2354 0.9349
O16 O 0.5817 0.5071 0.4601
O17 O 0.6131 0.9111 0.9722
O18 O 0.6644 0.4207 0.7124
O19 O 0.6909 0.5796 0.2073
O20 O 0.7020 0.4893 0.9329
O21 O 0.7056 0.1579 0.5757
O22 O 0.7140 0.1154 0.2089
O23 O 0.7399 0.8000 0.3704
O24 O 0.7490 0.8243 0.6325
O25 O 0.8697 0.2110 0.8913
O26 O 0.9209 0.0242 0.4231
O27 O 0.9884 0.7663 0.9563
O28 O 0.9995 0.5648 0.5606
```

The 6 most intense peaks (2θ from 10° to 90°), by angle:
two_theta  I/Imax  index
17.46  84  1 -1 0
18.28  88  -1 1 1
27.49  100  0 0 3
27.86  70  2 -1 0
33.67  42  2 2 2
34.90  52  2 1 -2

The following is a calculated powder X-ray diffraction pattern of LiMnP4O12. It was derived from a structure optimized by DFT (PBE+U), using Cu Kα (λ = 1.5418 Å).
Kinematic intensities with the Lorentz-polarization factor, no thermal factor.

Cell and atoms:
```
data_LiMnP4O12
_chemical_formula_sum 'Li4 Mn4 P16 O48'
_symmetry_space_group_name_H-M 'C 1 c 1'
_symmetry_Int_Tables_number 9
_symmetry_space_group_name_Hall 'C -2yc'
_cell_length_a 9.4147
_cell_length_b 13.5851
_cell_length_c 7.7557
_cell_angle_alpha 90.00
_cell_angle_beta 98.94
_cell_angle_gamma 90.00
loop_
_atom_site_label
_atom_site_type_symbol
_atom_site_fract_x
_atom_site_fract_y
_atom_site_fract_z
Li1 Li 0.0000 0.1504 0.0000
Mn1 Mn 0.1413 0.3651 0.4607
P1 P 0.0138 0.4232 0.0383
P2 P 0.0447 0.1606 0.6042
P3 P 0.2401 0.1589 0.3489
P4 P 0.2802 0.4250 0.8807
O1 O 0.0180 0.2655 0.5351
O2 O 0.0304 0.4658 0.5543
O3 O 0.0845 0.1438 0.7928
O4 O 0.1443 0.3776 0.9518
O5 O 0.1571 0.1096 0.4947
O6 O 0.1653 0.1422 0.1705
O7 O 0.2641 0.4630 0.3741
O8 O 0.2788 0.2659 0.4058
O9 O 0.3055 0.3752 0.7170
O10 O 0.3858 0.0971 0.3802
O11 O 0.4030 0.4039 0.0417
O12 O 0.4972 0.1320 0.6997
```

The 6 most intense peaks (2θ from 10° to 90°), by angle:
two_theta  I/Imax  index
11.53  90  1 1 0
17.40  100  1 1 1
23.22  37  0 0 2
24.58  94  2 2 -1
26.24  57  0 4 0
32.51  40  2 0 2

The following is a calculated powder X-ray diffraction pattern of Mn3O4. It was derived from a structure optimized by DFT (PBE+U), using Cu Kα (λ = 1.5418 Å).
Kinematic intensities with the Lorentz-polarization factor, no thermal factor.

Cell and atoms:
```
data_Mn3O4
_chemical_formula_sum 'Mn12 O16'
_symmetry_space_group_name_H-M 'P 1 m 1'
_symmetry_Int_Tables_number 6
_symmetry_space_group_name_Hall 'P -2y'
_cell_length_a 3.0694
_cell_length_b 9.7431
_cell_length_c 9.9921
_cell_angle_alpha 90.00
_cell_angle_beta 90.09
_cell_angle_gamma 90.00
loop_
_atom_site_label
_atom_site_type_symbol
_atom_site_fract_x
_atom_site_fract_y
_atom_site_fract_z
Mn1 Mn 0.0000 0.0000 0.0000
Mn2 Mn 0.0165 0.5000 0.2114
Mn3 Mn 0.3887 0.5000 0.7116
Mn4 Mn 0.4049 0.0000 0.5001
Mn5 Mn 0.4880 0.1793 0.2420
Mn6 Mn 0.4937 0.3198 0.9716
Mn7 Mn 0.9115 0.3199 0.4715
Mn8 Mn 0.9169 0.1796 0.7421
O1 O 0.0746 0.2512 0.1071
O2 O 0.3304 0.2514 0.6071
O3 O 0.4912 0.3620 0.3276
O4 O 0.4974 0.1378 0.8857
O5 O 0.5007 0.0000 0.1553
O6 O 0.5129 0.5000 0.0582
O7 O 0.8922 0.5000 0.5583
O8 O 0.9039 0.0000 0.6552
O9 O 0.9075 0.1382 0.3858
O10 O 0.9139 0.3619 0.8276
```

The 6 most intense peaks (2θ from 10° to 90°), by angle:
two_theta  I/Imax  index
31.85  28  1 1 1
32.89  100  0 3 2
35.72  29  1 2 1
41.05  55  1 1 3
44.23  43  1 2 3
56.70  36  0 6 0

The following is a calculated powder X-ray diffraction pattern of Na6W10O33. It was derived from a structure optimized by DFT (PBE+U), using Cu Kα (λ = 1.5418 Å).
Kinematic intensities with the Lorentz-polarization factor, no thermal factor.

Cell and atoms:
```
data_Na6W10O33
_chemical_formula_sum 'Na6 W10 O33'
_symmetry_space_group_name_H-M 'P -1'
_symmetry_Int_Tables_number 2
_symmetry_space_group_name_Hall '-P 1'
_cell_length_a 7.7386
_cell_length_b 8.2455
_cell_length_c 12.3235
_cell_angle_alpha 71.12
_cell_angle_beta 72.80
_cell_angle_gamma 79.15
loop_
_atom_site_label
_atom_site_type_symbol
_atom_site_fract_x
_atom_site_fract_y
_atom_site_fract_z
Na1 Na 0.1038 0.3431 0.2852
Na2 Na 0.1435 0.8443 0.2715
Na3 Na 0.3668 0.6129 0.7402
W1 W 0.0512 0.7704 0.0074
W2 W 0.2809 0.9829 0.5277
W3 W 0.2886 0.3900 0.5196
W4 W 0.3226 0.0676 0.8191
W5 W 0.4460 0.2266 0.9997
O1 O 0.0608 0.0341 0.8802
O2 O 0.0626 0.6148 0.1429
O3 O 0.1016 0.6564 0.9016
O4 O 0.1120 0.5292 0.5791
O5 O 0.1459 0.1854 0.5748
O6 O 0.1512 0.8212 0.6368
O7 O 0.2185 0.1872 0.9697
O8 O 0.2211 0.0083 0.3947
O9 O 0.2905 0.4571 0.3666
O10 O 0.3015 0.8374 0.9784
O11 O 0.3283 0.2755 0.7095
O12 O 0.3326 0.2868 0.1291
O13 O 0.3883 0.9255 0.7294
O14 O 0.4645 0.9410 0.1218
O15 O 0.4813 0.1564 0.4930
O16 O 0.4867 0.4207 0.8872
O17 O 0.5000 0.5000 0.5000
```

The 6 most intense peaks (2θ from 10° to 90°), by angle:
two_theta  I/Imax  index
11.40  34  0 1 0
15.71  100  0 0 2
26.33  36  0 2 -1
27.34  43  2 0 -1
27.92  64  0 2 3
29.21  47  2 2 2

The following is a calculated powder X-ray diffraction pattern of SrLaTiMnO6. It was derived from a structure optimized by DFT (PBE+U), using Cu Kα (λ = 1.5418 Å).
Kinematic intensities with the Lorentz-polarization factor, no thermal factor.

Cell and atoms:
```
data_SrLaTiMnO6
_chemical_formula_sum 'Sr2 La2 Ti2 Mn2 O12'
_symmetry_space_group_name_H-M 'P 1'
_symmetry_Int_Tables_number 1
_symmetry_space_group_name_Hall 'P 1'
_cell_length_a 5.5903
_cell_length_b 5.6157
_cell_length_c 9.5718
_cell_angle_alpha 74.02
_cell_angle_beta 74.06
_cell_angle_gamma 60.96
loop_
_atom_site_label
_atom_site_type_symbol
_atom_site_fract_x
_atom_site_fract_y
_atom_site_fract_z
Sr1 Sr 0.0000 0.0000 0.0000
Sr2 Sr 0.4820 0.5185 0.5010
La1 La 0.2244 0.2729 0.2558
La2 La 0.7446 0.7528 0.7539
Ti1 Ti 0.3704 0.3735 0.8774
Ti2 Ti 0.8567 0.8983 0.3770
Mn1 Mn 0.1150 0.1359 0.6254
Mn2 Mn 0.6138 0.6364 0.1248
O1 O 0.0116 0.5522 0.4972
O2 O 0.0354 0.4248 0.0042
O3 O 0.1967 0.7185 0.7513
O4 O 0.1968 0.8637 0.2487
O5 O 0.3195 0.1804 0.7475
O6 O 0.4588 0.5467 0.9968
O7 O 0.4637 0.9859 0.4905
O8 O 0.5675 0.9822 0.9883
O9 O 0.6497 0.2890 0.2558
O10 O 0.7615 0.3076 0.7538
O11 O 0.7902 0.7140 0.2479
O12 O 0.9223 0.0757 0.5025
```

The 6 most intense peaks (2θ from 10° to 90°), by angle:
two_theta  I/Imax  index
31.48  51  1 -1 0
31.89  100  1 1 -2
32.03  48  2 1 1
32.17  99  0 1 3
45.36  33  0 2 -2
45.50  33  2 0 -2

The following is a calculated powder X-ray diffraction pattern of LaCrWO6. It was derived from a structure optimized by DFT (PBE+U), using Cu Kα (λ = 1.5418 Å).
Kinematic intensities with the Lorentz-polarization factor, no thermal factor.

Cell and atoms:
```
data_LaCrWO6
_chemical_formula_sum 'La1 Cr1 W1 O6'
_symmetry_space_group_name_H-M 'P 1'
_symmetry_Int_Tables_number 1
_symmetry_space_group_name_Hall 'P 1'
_cell_length_a 5.5020
_cell_length_b 5.5108
_cell_length_c 5.5110
_cell_angle_alpha 119.79
_cell_angle_beta 119.67
_cell_angle_gamma 90.37
loop_
_atom_site_label
_atom_site_type_symbol
_atom_site_fract_x
_atom_site_fract_y
_atom_site_fract_z
La1 La 0.0000 0.0000 0.0000
Cr1 Cr 0.7480 0.2400 0.4926
W1 W 0.2501 0.7409 0.4927
O1 O 0.0238 0.0076 0.4661
O2 O 0.4579 0.4573 0.4927
O3 O 0.5006 0.9303 0.4434
O4 O 0.5226 0.0164 0.9843
O5 O 0.9802 0.4509 0.9998
O6 O 0.9973 0.5651 0.5596
```

The 6 most intense peaks (2θ from 10° to 90°), by angle:
two_theta  I/Imax  index
19.71  100  1 0 -1
32.37  46  1 -1 1
32.50  95  2 0 -1
38.18  34  0 1 1
38.42  18  2 1 -2
57.80  30  1 -3 0

The following is a calculated powder X-ray diffraction pattern of Sr2TbVO6. It was derived from a structure optimized by DFT (PBE+U), using Cu Kα (λ = 1.5418 Å).
Kinematic intensities with the Lorentz-polarization factor, no thermal factor.

Cell and atoms:
```
data_Sr2TbVO6
_chemical_formula_sum 'Sr8 Tb4 V4 O24'
_symmetry_space_group_name_H-M 'F m -3 m'
_symmetry_Int_Tables_number 225
_symmetry_space_group_name_Hall '-F 4 2 3'
_cell_length_a 8.2369
_cell_length_b 8.2369
_cell_length_c 8.2369
_cell_angle_alpha 90.00
_cell_angle_beta 90.00
_cell_angle_gamma 90.00
loop_
_atom_site_label
_atom_site_type_symbol
_atom_site_fract_x
_atom_site_fract_y
_atom_site_fract_z
Sr1 Sr 0.2500 0.2500 0.2500
Tb1 Tb 0.0000 0.0000 0.0000
V1 V 0.0000 0.0000 0.5000
O1 O 0.0000 0.0000 0.2693
```

The 6 most intense peaks (2θ from 10° to 90°), by angle:
two_theta  I/Imax  index
30.70  100  2 2 0
43.97  33  4 0 0
54.58  39  4 2 2
63.94  20  4 4 0
72.59  18  6 2 0
88.92  21  6 4 2

The following is a calculated powder X-ray diffraction pattern of NaEuMn4O12. It was derived from a structure optimized by DFT (PBE+U), using Cu Kα (λ = 1.5418 Å).
Kinematic intensities with the Lorentz-polarization factor, no thermal factor.

Cell and atoms:
```
data_NaEuMn4O12
_chemical_formula_sum 'Na2 Eu2 Mn8 O24'
_symmetry_space_group_name_H-M 'A m m 2'
_symmetry_Int_Tables_number 38
_symmetry_space_group_name_Hall 'A 2 -2'
_cell_length_a 7.5672
_cell_length_b 7.3057
_cell_length_c 7.5633
_cell_angle_alpha 90.00
_cell_angle_beta 90.00
_cell_angle_gamma 90.00
loop_
_atom_site_label
_atom_site_type_symbol
_atom_site_fract_x
_atom_site_fract_y
_atom_site_fract_z
Na1 Na 0.0000 0.0000 0.0000
Eu1 Eu 0.5000 0.0000 0.5293
Mn1 Mn 0.2429 0.2486 0.2674
O1 O 0.0000 0.1932 0.7690
O2 O 0.2001 0.0000 0.2126
O3 O 0.2547 0.1945 0.5134
O4 O 0.3095 0.0000 0.8022
O5 O 0.5000 0.1932 0.2597
```

The 6 most intense peaks (2θ from 10° to 90°), by angle:
two_theta  I/Imax  index
16.87  40  0 1 1
20.58  93  1 1 1
33.50  42  2 0 2
34.12  100  2 2 0
48.11  43  0 0 4
60.29  43  4 2 2

Copy entry 8 word for word.
The following is a calculated powder X-ray diffraction pattern of Sr2TbVO6. It was derived from a structure optimized by DFT (PBE+U), using Cu Kα (λ = 1.5418 Å).
Kinematic intensities with the Lorentz-polarization factor, no thermal factor.

Cell and atoms:
```
data_Sr2TbVO6
_chemical_formula_sum 'Sr8 Tb4 V4 O24'
_symmetry_space_group_name_H-M 'F m -3 m'
_symmetry_Int_Tables_number 225
_symmetry_space_group_name_Hall '-F 4 2 3'
_cell_length_a 8.2369
_cell_length_b 8.2369
_cell_length_c 8.2369
_cell_angle_alpha 90.00
_cell_angle_beta 90.00
_cell_angle_gamma 90.00
loop_
_atom_site_label
_atom_site_type_symbol
_atom_site_fract_x
_atom_site_fract_y
_atom_site_fract_z
Sr1 Sr 0.2500 0.2500 0.2500
Tb1 Tb 0.0000 0.0000 0.0000
V1 V 0.0000 0.0000 0.5000
O1 O 0.0000 0.0000 0.2693
```

The 6 most intense peaks (2θ from 10° to 90°), by angle:
two_theta  I/Imax  index
30.70  100  2 2 0
43.97  33  4 0 0
54.58  39  4 2 2
63.94  20  4 4 0
72.59  18  6 2 0
88.92  21  6 4 2

What is the formula in the fifth record? Na6W10O33